(1)
For Li7Mn2Co3O12, a crystal structure in the Materials Project, relaxed with GGA+U gives the theoretical XRD peak list in this record (Cu Kα).
No peak broadening, texture or thermal motion is included.

Crystal structure
Lattice parameters (Å, degrees): 14.6363 14.6363 5.1506 99.10 99.10 11.43
Atoms (fractional coordinates):
Li (0.0000, 0.0000, 0.0000)
Li (0.0786, 0.0786, 0.4096)
Li (0.2503, 0.2503, 0.2596)
Li (0.4204, 0.4204, 0.0779)
Li (0.5796, 0.5796, 0.9221)
Li (0.7497, 0.7497, 0.7404)
Li (0.9214, 0.9214, 0.5904)
Mn (0.1661, 0.1661, 0.8339)
Mn (0.8339, 0.8339, 0.1661)
Co (0.3343, 0.3343, 0.6671)
Co (0.5000, 0.5000, 0.5000)
Co (0.6657, 0.6657, 0.3329)
O (0.0362, 0.0362, 0.6821)
O (0.1281, 0.1281, 0.1108)
O (0.2047, 0.2047, 0.5550)
O (0.2958, 0.2958, 0.9871)
O (0.3709, 0.3709, 0.3431)
O (0.4627, 0.4627, 0.7540)
O (0.5373, 0.5373, 0.2460)
O (0.6291, 0.6291, 0.6569)
O (0.7042, 0.7042, 0.0129)
O (0.7953, 0.7953, 0.4450)
O (0.8719, 0.8719, 0.8892)
O (0.9638, 0.9638, 0.3179)

Most intense lines, 2θ from 10° to 80°, sorted by position:
| 2θ (°) | d (Å) | I/Imax |
| --- | --- | --- |
| 18.51 | 4.793 | 100 |
| 35.53 | 2.527 | 14 |
| 35.89 | 2.502 | 27 |
| 43.48 | 2.082 | 58 |
| 43.61 | 2.076 | 28 |
| 48.03 | 1.894 | 9 |
| 57.48 | 1.603 | 10 |
| 62.82 | 1.479 | 15 |
| 63.72 | 1.460 | 15 |
| 63.86 | 1.458 | 8 |

***

(2)
For Li4MnCo2O7, a crystal structure in the Materials Project, relaxed with GGA+U gives the theoretical XRD peak list in this record (Cu Kα).
No peak broadening, texture or thermal motion is included.

Crystal structure
Lattice parameters (Å, degrees): 5.9291 6.5735 7.6441 114.66 99.20 104.02
Atoms (fractional coordinates):
Li (0.0000, 0.0000, 0.0000)
Li (0.0701, 0.5776, 0.7189)
Li (0.2129, 0.7106, 0.1425)
Li (0.3660, 0.8582, 0.5789)
Li (0.4988, 0.0009, 0.0022)
Li (0.6432, 0.1431, 0.4314)
Li (0.7909, 0.2768, 0.8587)
Li (0.9231, 0.4102, 0.2727)
Mn (0.5764, 0.5702, 0.7174)
Mn (0.7127, 0.7130, 0.1416)
Co (0.1392, 0.1389, 0.4218)
Co (0.2719, 0.2719, 0.8648)
Co (0.4284, 0.4251, 0.2868)
Co (0.8660, 0.8551, 0.5817)
O (0.0043, 0.7792, 0.3437)
O (0.1151, 0.3555, 0.0623)
O (0.1742, 0.9281, 0.7746)
O (0.2806, 0.4968, 0.5059)
O (0.3219, 0.0982, 0.2326)
O (0.4211, 0.6444, 0.9328)
O (0.4575, 0.2363, 0.6552)
O (0.5404, 0.7564, 0.3436)
O (0.5968, 0.3718, 0.0825)
O (0.6794, 0.8984, 0.7690)
O (0.7459, 0.5067, 0.5186)
O (0.8191, 0.0448, 0.2173)
O (0.8597, 0.6355, 0.9269)
O (0.9794, 0.2000, 0.6377)

Most intense lines, 2θ from 10° to 80°, sorted by position:
| 2θ (°) | d (Å) | I/Imax |
| --- | --- | --- |
| 18.30 | 4.847 | 100 |
| 35.51 | 2.528 | 14 |
| 35.95 | 2.498 | 14 |
| 36.63 | 2.453 | 12 |
| 37.48 | 2.399 | 8 |
| 42.82 | 2.112 | 30 |
| 43.60 | 2.076 | 28 |
| 44.33 | 2.043 | 26 |
| 62.71 | 1.482 | 15 |
| 63.35 | 1.468 | 8 |